No. 1
This entry pairs a crystal structure of Na2TaZn2O6 with its calculated powder XRD pattern. Radiation: Cu Ka. Structure: a crystal structure in Alexandria, relaxed with PBE.
Peak positions follow from Bragg's law for the DFT cell and can differ from measured ones.

Structure:
```
data_Na2TaZn2O6
_chemical_formula_sum 'Na2 Ta1 Zn2 O6'
_space_group_name_H-M_alt 'P 1'
_space_group_IT_number 1
_cell_length_a 5.294
_cell_length_b 5.294
_cell_length_c 5.660
_cell_angle_alpha 90.00
_cell_angle_beta 90.00
_cell_angle_gamma 120.00
loop_
_space_group_symop_operation_xyz
'x,y,z'
loop_
_atom_site_label
_atom_site_type_symbol
_atom_site_fract_x
_atom_site_fract_y
_atom_site_fract_z
Na1 Na 0.333 0.667 0.000
Na2 Na 0.667 0.333 0.000
Ta1 Ta 0.000 0.000 0.500
Zn1 Zn 0.333 0.667 0.500
Zn2 Zn 0.667 0.333 0.500
O1 O 0.000 0.319 0.697
O2 O 0.000 0.681 0.303
O3 O 0.319 0.000 0.697
O4 O 0.319 0.319 0.303
O5 O 0.681 0.000 0.303
O6 O 0.681 0.681 0.697
```

Top 10 peaks for 2θ = 15–90°, low angle first:
(0 0 1), 2θ = 15.7°, intensity 100
(1 0 0), 2θ = 19.4°, intensity 14
(1 0 1), 2θ = 25.0°, intensity 37
(0 0 2), 2θ = 31.6°, intensity 16
(1 1 0), 2θ = 33.9°, intensity 50
(2 -1 1), 2θ = 37.5°, intensity 53
(2 -1 2), 2θ = 47.0°, intensity 64
(1 1 3), 2θ = 60.2°, intensity 17
(3 0 0), 2θ = 60.6°, intensity 18
(3 0 1), 2θ = 63.0°, intensity 14

No. 2
This entry pairs a crystal structure of Na2TbO3 with its calculated powder XRD pattern. Radiation: Cu Ka. Structure: a crystal structure in Alexandria, relaxed with PBE.
Peak positions follow from Bragg's law for the DFT cell and can differ from measured ones.

Structure:
```
data_Na2TbO3
_chemical_formula_sum 'Na4 Tb2 O6'
_space_group_name_H-M_alt 'P 1'
_space_group_IT_number 1
_cell_length_a 3.430
_cell_length_b 4.682
_cell_length_c 10.527
_cell_angle_alpha 90.00
_cell_angle_beta 90.00
_cell_angle_gamma 90.00
loop_
_space_group_symop_operation_xyz
'x,y,z'
loop_
_atom_site_label
_atom_site_type_symbol
_atom_site_fract_x
_atom_site_fract_y
_atom_site_fract_z
Na1 Na 0.000 0.000 0.178
Na2 Na 0.000 0.000 0.822
Na3 Na 0.500 0.500 0.322
Na4 Na 0.500 0.500 0.678
Tb1 Tb 0.000 0.000 0.500
Tb2 Tb 0.500 0.500 0.000
O1 O 0.000 0.500 0.144
O2 O 0.000 0.500 0.500
O3 O 0.000 0.500 0.856
O4 O 0.500 0.000 0.000
O5 O 0.500 0.000 0.356
O6 O 0.500 0.000 0.644
```

Top 10 peaks for 2θ = 15–90°, low angle first:
(0 0 2), 2θ = 16.8°, intensity 69
(0 1 1), 2θ = 20.8°, intensity 90
(1 0 1), 2θ = 27.3°, intensity 41
(0 1 3), 2θ = 31.9°, intensity 39
(1 1 0), 2θ = 32.4°, intensity 37
(1 0 3), 2θ = 36.7°, intensity 100
(0 2 0), 2θ = 38.5°, intensity 31
(1 1 4), 2θ = 47.7°, intensity 26
(1 2 1), 2θ = 47.8°, intensity 18
(1 2 3), 2θ = 54.2°, intensity 42